Record 1
Starting from a GGA-PBE-relaxed structure, the powder diffraction line list of LaTbPm2Y was calculated for Cu Kα X-rays.
Kinematic intensities with the Lorentz-polarization factor, no thermal factor.

Cell and atoms:
```
data_LaTbPm2Y
_cell_length_a 8.5183
_cell_length_b 6.5883
_cell_length_c 6.3165
_cell_angle_alpha 90.00
_cell_angle_beta 97.03
_cell_angle_gamma 90.00
_space_group_name_H-M_alt 'P 1'
_space_group_IT_number 1
_space_group_name_Hall 'P 1'
loop_
_atom_site_label
_atom_site_fract_x
_atom_site_fract_y
_atom_site_fract_z
_atom_site_occupancy
La1 0.0000 0.0000 0.0000 1
La2 0.0000 0.0000 0.5000 1
Tb1 0.0000 0.4372 0.2500 1
Tb2 0.0000 0.5628 0.7500 1
Pm1 0.3115 0.3135 0.7100 1
Pm2 0.3115 0.6865 0.2100 1
Pm3 0.6885 0.3135 0.7900 1
Pm4 0.6885 0.6865 0.2900 1
Y1 0.5000 0.1659 0.2500 1
Y2 0.5000 0.8341 0.7500 1
```

Peak list (10 most intense, 2θ from 5° to 70°, sorted by position)
2θ = 27.5°, rel. 50
2θ = 28.5°, rel. 40
2θ = 29.1°, rel. 100
2θ = 30.1°, rel. 70
2θ = 31.6°, rel. 50
2θ = 31.8°, rel. 49
2θ = 31.9°, rel. 43
2θ = 34.5°, rel. 84
2θ = 42.7°, rel. 53
2θ = 57.0°, rel. 28

=====

Record 2
Starting from a GGA-PBE-relaxed structure, the powder diffraction line list of LaTb5Pm2Y was calculated for Cu Kα X-rays.
Kinematic intensities with the Lorentz-polarization factor, no thermal factor.

Cell and atoms:
```
data_LaTb5Pm2Y
_cell_length_a 9.9642
_cell_length_b 9.9642
_cell_length_c 9.9642
_cell_angle_alpha 127.50
_cell_angle_beta 127.50
_cell_angle_gamma 77.44
_space_group_name_H-M_alt 'P 1'
_space_group_IT_number 1
_space_group_name_Hall 'P 1'
loop_
_atom_site_label
_atom_site_fract_x
_atom_site_fract_y
_atom_site_fract_z
_atom_site_occupancy
La1 0.2500 0.2500 0.0000 1
La2 0.7500 0.7500 0.0000 1
Tb1 0.0000 0.0000 0.0000 1
Tb2 0.0734 0.5734 0.9181 1
Tb3 0.1553 0.0734 0.5000 1
Tb4 0.3447 0.8447 0.9181 1
Tb5 0.4266 0.3447 0.5000 1
Tb6 0.5000 0.5000 0.0000 1
Tb7 0.5734 0.6553 0.5000 1
Tb8 0.6553 0.1553 0.0819 1
Tb9 0.8447 0.9266 0.5000 1
Tb10 0.9266 0.4266 0.0819 1
Pm1 0.1164 0.3836 0.5000 1
Pm2 0.3836 0.8836 0.2672 1
Pm3 0.6164 0.1164 0.7328 1
Pm4 0.8836 0.6164 0.5000 1
Y1 0.2500 0.7500 0.5000 1
Y2 0.7500 0.2500 0.5000 1
```

Peak list (10 most intense, 2θ from 5° to 70°, sorted by position)
2θ = 28.4°, rel. 54
2θ = 28.6°, rel. 50
2θ = 30.7°, rel. 100
2θ = 32.1°, rel. 19
2θ = 36.8°, rel. 15
2θ = 37.2°, rel. 20
2θ = 42.7°, rel. 21
2θ = 46.7°, rel. 13
2θ = 52.0°, rel. 20
2θ = 55.7°, rel. 13